Starting from DFT lattice parameters and positions (PBE), the powder diffractogram of NaAl5Zn4 was simulated for Cu Kα X-rays.
Intensities are scaled so that the largest is 100.

Largest 10 diffraction maxima, in order of rising 2θ, 10° ≤ 2θ ≤ 90°:
hkl 1 1 0, 2θ 14.50, intensity 66.6
hkl 0 0 1, 2θ 17.89, intensity 35.4
hkl 2 0 1, 2θ 28.38, intensity 63.4
hkl 2 2 1, 2θ 34.48, intensity 76.6
hkl 3 0 1, 2θ 37.81, intensity 53.8
hkl 0 4 0, 2θ 38.92, intensity 37.4
hkl 2 3 1, 2θ 40.98, intensity 73.1
hkl 0 2 2, 2θ 41.31, intensity 81.6
hkl 3 2 1, 2θ 42.72, intensity 100.0
hkl 4 0 0, 2θ 44.52, intensity 45.1

Structural model:
```
NaAl5Zn4
1.0
8.1359 0.0000 0.0000
0.0000 9.2554 0.0000
0.0000 0.0000 4.9590
Na Al Zn
2 10 8
direct
0.2500 0.2500 0.0961
0.7500 0.7500 0.9039
0.0776 0.5015 0.7498
0.0776 0.9985 0.7498
0.2500 0.7500 0.8416
0.4224 0.5015 0.7498
0.4224 0.9985 0.7498
0.5776 0.0015 0.2502
0.5776 0.4985 0.2502
0.7500 0.2500 0.1584
0.9224 0.0015 0.2502
0.9224 0.4985 0.2502
0.0162 0.7500 0.4567
0.2500 0.5679 0.2507
0.2500 0.9321 0.2507
0.4838 0.7500 0.4567
0.5162 0.2500 0.5433
0.7500 0.0679 0.7493
0.7500 0.4321 0.7493
0.9838 0.2500 0.5433
```